# 1
This entry pairs a crystal structure of PuVSe3 with its simulated powder diffraction line list. Radiation: CuKα. Structure: a GGA-PBE-relaxed structure.
Lines closer than 0.1° are merged.

Structural model:
```
data_PuVSe3
_chemical_formula_sum 'Pu4 V4 Se12'
_space_group_name_H-M_alt 'P b c m'
_space_group_IT_number 57
_space_group_name_Hall '-P 2c 2b'
_cell_length_a 11.2864
_cell_length_b 6.9704
_cell_length_c 5.6759
_cell_angle_alpha 90.00
_cell_angle_beta 90.00
_cell_angle_gamma 90.00
loop_
_atom_site_label
_atom_site_type_symbol
_atom_site_fract_x
_atom_site_fract_y
_atom_site_fract_z
Pu1 Pu 0.1651 0.0430 0.2500
V1 V 0.4259 0.2500 0.0000
Se1 Se 0.0281 0.7500 0.0000
Se2 Se 0.2628 0.0778 0.7500
Se3 Se 0.4174 0.5732 0.7500
```

Principal peaks in the range 2θ from 5° to 70°, most intense first:
(hkl)  d/Å  two_theta  I/Imax
1 1 1  4.101  21.67  1000
4 1 1  2.375  37.88  744
0 2 2  2.201  41.01  701
2 1 1  3.471  25.67  567
1 0 0  11.286  7.83  464
2 2 0  2.965  30.14  444
3 2 0  2.557  35.09  429
5 1 1  2.009  45.14  417

---

# 2
This entry pairs a crystal structure of Pr4DyEr10 with its simulated powder diffraction line list. Radiation: CuKα. Structure: a GGA-PBE-relaxed structure.
Lines closer than 0.1° are merged.

Structural model:
```
data_Pr4DyEr10
_chemical_formula_sum 'Pr8 Dy2 Er20'
_space_group_name_H-M_alt 'I 4/m m m'
_space_group_IT_number 139
_space_group_name_Hall '-I 4 2'
_cell_length_a 11.2479
_cell_length_b 11.2479
_cell_length_c 7.9704
_cell_angle_alpha 90.00
_cell_angle_beta 90.00
_cell_angle_gamma 90.00
loop_
_atom_site_label
_atom_site_type_symbol
_atom_site_fract_x
_atom_site_fract_y
_atom_site_fract_z
Pr1 Pr 0.2269 0.2269 0.0000
Dy1 Dy 0.0000 0.0000 0.0000
Er1 Er 0.0000 0.2078 0.2946
Er2 Er 0.0000 0.5000 0.2500
```

Principal peaks in the range 2θ from 5° to 70°, most intense first:
(hkl)  d/Å  two_theta  I/Imax
4 0 0  2.813  31.81  1000
3 3 0  2.653  33.79  356
3 3 2  2.207  40.89  337
3 2 1  2.905  30.78  275
2 0 2  3.252  27.43  253
7 3 2  1.385  67.65  172
1 0 3  2.586  34.69  166
5 0 3  1.717  53.37  154

---

# 3
This entry pairs a crystal structure of CaEuCuP with its simulated powder diffraction line list. Radiation: CuKα. Structure: a GGA-PBE-relaxed structure.
Lines closer than 0.1° are merged.

Structural model:
```
data_CaEuCuP
_chemical_formula_sum 'Ca4 Eu4 Cu4 P4'
_space_group_name_H-M_alt 'F -4 3 m'
_space_group_IT_number 216
_space_group_name_Hall 'F -4 2 3'
_cell_length_a 7.1200
_cell_length_b 7.1200
_cell_length_c 7.1200
_cell_angle_alpha 90.00
_cell_angle_beta 90.00
_cell_angle_gamma 90.00
loop_
_atom_site_label
_atom_site_type_symbol
_atom_site_fract_x
_atom_site_fract_y
_atom_site_fract_z
Ca1 Ca 0.0000 0.0000 0.0000
Eu1 Eu 0.0000 0.0000 0.5000
Cu1 Cu 0.2500 0.2500 0.2500
P1 P 0.2500 0.2500 0.7500
```

Principal peaks in the range 2θ from 5° to 70°, most intense first:
(hkl)  d/Å  two_theta  I/Imax
2 2 0  2.517  35.67  1000
1 1 1  4.111  21.62  353
4 2 2  1.453  64.07  340
3 1 1  2.147  42.09  202
4 0 0  1.780  51.33  170
2 0 0  3.560  25.01  125
3 3 1  1.633  56.32  87
5 1 1  1.370  68.47  66

---

# 4
This entry pairs a crystal structure of H4Pt with its simulated powder diffraction line list. Radiation: CuKα. Structure: a GGA-PBE-relaxed structure.
Lines closer than 0.1° are merged.

Structural model:
```
data_H4Pt
_chemical_formula_sum 'H32 Pt8'
_space_group_name_H-M_alt 'F d d 2'
_space_group_IT_number 43
_space_group_name_Hall 'F 2 -2d'
_cell_length_a 7.5636
_cell_length_b 7.6396
_cell_length_c 5.8858
_cell_angle_alpha 90.00
_cell_angle_beta 90.00
_cell_angle_gamma 90.00
loop_
_atom_site_label
_atom_site_type_symbol
_atom_site_fract_x
_atom_site_fract_y
_atom_site_fract_z
H1 H 0.0896 0.4044 0.0000
H2 H 0.0966 0.4019 0.4659
Pt1 Pt 0.0000 0.0000 0.7690
```

Principal peaks in the range 2θ from 5° to 70°, most intense first:
(hkl)  d/Å  two_theta  I/Imax
1 1 1  3.969  22.40  1000
2 2 0  2.687  33.34  371
0 2 2  2.331  38.62  244
2 0 2  2.323  38.77  241
1 3 1  2.233  40.39  219
3 1 1  2.218  40.68  214
1 1 3  1.843  49.45  123
2 4 2  1.475  63.01  121